Diffraction record for Na12Tl5Sn2. The X-ray diffraction stick pattern is calculated, not measured: it uses a cell relaxed with GGA-PBE and Cu Kα.
No peak broadening, texture or thermal motion is included.

Largest 10 diffraction maxima, in order of rising 2θ, 2θ = 10–90°:
| d [Å] | 2θ (°) | I_rel | index |
| --- | --- | --- | --- |
| 5.746 | 15.42 | 100 | 1 1 -1 |
| 4.644 | 19.11 | 51 | 0 2 0 |
| 4.223 | 21.04 | 58 | 0 0 2 |
| 3.912 | 22.73 | 32 | 2 2 0 |
| 3.124 | 28.57 | 42 | 0 2 2 |
| 2.861 | 31.26 | 28 | 4 2 0 |
| 2.703 | 33.14 | 26 | 4 2 1 |
| 2.652 | 33.80 | 35 | 1 1 -3 |
| 2.639 | 33.97 | 55 | 5 1 -1 |
| 2.214 | 40.76 | 25 | 3 3 2 |

Atomic structure:
```
data_Na12Tl5Sn2
_chemical_formula_sum 'Na24 Tl10 Sn4'
_symmetry_space_group_name_H-M 'C 1 2/m 1'
_symmetry_Int_Tables_number 12
_symmetry_space_group_name_Hall '-C 2y'
_cell_length_a 14.5184
_cell_length_b 9.2874
_cell_length_c 8.4459
_cell_angle_alpha 90.00
_cell_angle_beta 90.46
_cell_angle_gamma 90.00
loop_
_atom_site_label
_atom_site_type_symbol
_atom_site_fract_x
_atom_site_fract_y
_atom_site_fract_z
_atom_site_occupancy
Na1 Na 0.0614 0.0000 0.3169 1
Na2 Na 0.0893 0.5000 0.8733 1
Na3 Na 0.1234 0.2032 0.6641 1
Na4 Na 0.1531 0.3120 0.2402 1
Tl1 Tl 0.0000 0.5000 0.5000 1
Tl2 Tl 0.1948 0.0000 0.9958 1
Tl3 Tl 0.2325 0.5000 0.5574 1
Sn1 Sn 0.0000 0.1737 0.0000 1
```